1.
Diffraction record for TbHoBi4Au2. The powder X-ray diffraction pattern is computed, not measured: it uses DFT lattice parameters and positions (PBE) and Cu Ka.
Peak positions follow from Bragg's law for the DFT cell and can differ from measured ones.

Crystal structure
Cell: 4.6206 4.6206 9.7727 Å, 90.00 90.00 90.00°
Fractional coordinates of all 8 atoms:
Tb1 0.0000 0.0000 0.0000
Ho1 0.5000 0.5000 0.5423
Bi1 0.0000 0.0000 0.5692
Bi2 0.0000 0.5000 0.2716
Bi3 0.5000 0.0000 0.2716
Bi4 0.5000 0.5000 0.9699
Au1 0.0000 0.5000 0.7685
Au2 0.5000 0.0000 0.7685

Main lines, low angle first (5 to 70 degrees two-theta):
two_theta, d/Å, intensity
9.05, 9.773, 5
27.37, 3.258, 4
32.98, 2.716, 100
36.79, 2.443, 13
38.99, 2.310, 42
46.43, 1.956, 5
48.30, 1.884, 4
54.69, 1.678, 22
56.32, 1.634, 13
63.86, 1.458, 6
66.83, 1.400, 27
69.18, 1.358, 9


2.
Diffraction record for Cu7Ag2. The powder X-ray diffraction pattern is computed, not measured: it uses DFT lattice parameters and positions (PBE) and Cu Ka.
Peak positions follow from Bragg's law for the DFT cell and can differ from measured ones.

Crystal structure
Cell: 6.9092 6.9092 6.9092 Å, 157.35 108.78 75.83°
Fractional coordinates of all 9 atoms:
Cu1 0.0000 0.0000 0.0000
Cu2 0.0121 0.6728 0.3393
Cu3 0.3243 0.3243 0.0000
Cu4 0.3335 0.6728 0.6607
Cu5 0.6665 0.3272 0.3393
Cu6 0.6757 0.6757 0.0000
Cu7 0.9879 0.3272 0.6607
Ag1 0.3275 0.0000 0.3275
Ag2 0.6725 0.0000 0.6725

Main lines, low angle first (5 to 70 degrees two-theta):
two_theta, d/Å, intensity
13.68, 6.474, 3
16.26, 5.451, 3
27.56, 3.237, 3
32.86, 2.725, 5
34.05, 2.633, 4
34.44, 2.604, 4
41.54, 2.174, 100
41.86, 2.158, 97
47.68, 1.907, 66
50.21, 1.817, 27
59.12, 1.563, 3
69.26, 1.357, 10


What did the first record say?
Diffraction record for TbHoBi4Au2. The powder X-ray diffraction pattern is computed, not measured: it uses DFT lattice parameters and positions (PBE) and Cu Ka.
Peak positions follow from Bragg's law for the DFT cell and can differ from measured ones.

Crystal structure
Cell: 4.6206 4.6206 9.7727 Å, 90.00 90.00 90.00°
Fractional coordinates of all 8 atoms:
Tb1 0.0000 0.0000 0.0000
Ho1 0.5000 0.5000 0.5423
Bi1 0.0000 0.0000 0.5692
Bi2 0.0000 0.5000 0.2716
Bi3 0.5000 0.0000 0.2716
Bi4 0.5000 0.5000 0.9699
Au1 0.0000 0.5000 0.7685
Au2 0.5000 0.0000 0.7685

Main lines, low angle first (5 to 70 degrees two-theta):
two_theta, d/Å, intensity
9.05, 9.773, 5
27.37, 3.258, 4
32.98, 2.716, 100
36.79, 2.443, 13
38.99, 2.310, 42
46.43, 1.956, 5
48.30, 1.884, 4
54.69, 1.678, 22
56.32, 1.634, 13
63.86, 1.458, 6
66.83, 1.400, 27
69.18, 1.358, 9